Diffraction record for Cs2BeInO4. The X-ray diffraction stick pattern is calculated, not measured: it uses a GGA-PBE-relaxed structure and copper Kα.

Atomic structure:
```
data_Cs2BeInO4
_chemical_formula_sum 'Cs16 Be8 In8 O32'
_cell_length_a 5.1051
_cell_length_b 12.3374
_cell_length_c 23.0003
_cell_angle_alpha 90.00
_cell_angle_beta 90.00
_cell_angle_gamma 90.00
_space_group_name_H-M_alt 'F d d d'
_space_group_IT_number 70
loop_
_space_group_symop_operation_xyz
'x,y,z'
'-x,-y,-z'
'-x+1/4,-y+1/4,z'
'x+1/4,y+1/4,-z'
'x,-y+1/4,-z+1/4'
'-x,y+1/4,z+1/4'
'-x+1/4,y,-z+1/4'
'x+1/4,-y,z+1/4'
'x,y+1/2,z+1/2'
'-x,-y+1/2,-z+1/2'
'-x+1/4,-y+3/4,z+1/2'
'x+1/4,y+3/4,-z+1/2'
'x,-y+3/4,-z+3/4'
'-x,y+3/4,z+3/4'
'-x+1/4,y+1/2,-z+3/4'
'x+1/4,-y+1/2,z+3/4'
'x+1/2,y,z+1/2'
'-x+1/2,-y,-z+1/2'
'-x+3/4,-y+1/4,z+1/2'
'x+3/4,y+1/4,-z+1/2'
'x+1/2,-y+1/4,-z+3/4'
'-x+1/2,y+1/4,z+3/4'
'-x+3/4,y,-z+3/4'
'x+3/4,-y,z+3/4'
'x+1/2,y+1/2,z'
'-x+1/2,-y+1/2,-z'
'-x+3/4,-y+3/4,z'
'x+3/4,y+3/4,-z'
'x+1/2,-y+3/4,-z+1/4'
'-x+1/2,y+3/4,z+1/4'
'-x+3/4,y+1/2,-z+1/4'
'x+3/4,-y+1/2,z+1/4'
loop_
_atom_site_label
_atom_site_fract_x
_atom_site_fract_y
_atom_site_fract_z
_atom_site_occupancy
Cs1 0.1250 0.1250 0.3000 1
Be1 0.1250 0.1250 0.6250 1
In1 0.1250 0.1250 0.1250 1
O1 0.0684 0.2947 0.8348 1
```

The 10 most intense peaks (10° ≤ 2θ ≤ 90°), low angle first:
| two_theta | Rel. int. | hkl |
| --- | --- | --- |
| 19.21 | 66.3 | 1 1 1 |
| 22.13 | 24.2 | 1 1 3 |
| 27.08 | 49.0 | 1 1 5 |
| 27.39 | 100.0 | 0 2 6 |
| 28.13 | 39.8 | 1 3 1 |
| 28.95 | 38.9 | 0 4 0 |
| 34.11 | 50.6 | 1 3 5 |
| 38.16 | 37.4 | 2 2 0 |
| 42.55 | 29.0 | 2 0 6 |
| 52.27 | 44.4 | 2 4 6 |